1.
# RbCaBr3
Computed powder diffractogram, a wavelength of 1.5418 Å. Input: a cell relaxed with GGA-PBE.
Lines closer than 0.1° are merged.

Structure:
a = 17.644 Å, b = 4.361 Å, c = 10.075 Å
α = 90.00°, β = 94.43°, γ = 90.00°
Space group C2/m (No. 12)
Asymmetric unit:
1 Rb 0.102 0.000 0.404 x4
2 Ca 0.190 0.500 0.836 x4
3 Br 0.053 0.500 0.673 x4
4 Br 0.155 0.000 0.019 x4
5 Br 0.250 0.000 0.677 x4

Main lines, by angle (10° ≤ 2θ ≤ 90°):
| two_theta | intensity |
| --- | --- |
| 12.86 | 26.2 |
| 26.60 | 75.7 |
| 27.34 | 92.0 |
| 27.98 | 26.1 |
| 30.45 | 100.0 |
| 32.47 | 50.1 |
| 38.04 | 31.1 |
| 41.40 | 36.8 |
| 51.41 | 28.6 |
| 53.57 | 24.9 |

=====

2.
# Fe3HRh
Computed powder diffractogram, a wavelength of 1.5418 Å. Input: a cell relaxed with GGA-PBE.
Lines closer than 0.1° are merged.

Structure:
a = 5.689 Å, b = 5.793 Å, c = 6.447 Å
α = 90.00°, β = 90.00°, γ = 90.00°
Space group Imma (No. 74)
Asymmetric unit:
1 Fe 0.000 0.250 0.024 x4
2 Fe 0.250 0.019 0.750 x8
3 H 0.000 0.250 0.748 x4
4 Rh 0.000 0.250 0.467 x4

Main lines, by angle (10° ≤ 2θ ≤ 90°):
| two_theta | intensity |
| --- | --- |
| 20.83 | 17.8 |
| 41.93 | 100.0 |
| 42.38 | 99.4 |
| 44.65 | 91.8 |
| 57.15 | 15.1 |
| 64.32 | 13.3 |
| 65.65 | 14.2 |
| 75.30 | 24.3 |
| 80.09 | 24.8 |
| 81.01 | 25.9 |

=====

Question: Which formula does entry 1 have?
Answer: RbCaBr3